# 1
Diffraction record for LiCr2P5O15. The X-ray diffraction stick pattern is computed, not measured: it uses DFT lattice parameters and positions (PBE+U) and CuKα.

Cell and atoms:
Lattice parameters (Å, degrees): 5.4315 8.7874 13.5020 90.00 107.65 90.00
Fractional coordinates of all 46 atoms:
1 Li 0.0000 0.0022 0.0000
2 Li 0.0000 0.9978 0.5000
3 Cr 0.7193 0.2908 0.4851
4 Cr 0.7193 0.7092 0.9851
5 Cr 0.9205 0.2940 0.8841
6 Cr 0.9205 0.7060 0.3841
7 P 0.1242 0.1768 0.3447
8 P 0.1242 0.8232 0.8447
9 P 0.2826 0.4819 0.2957
10 P 0.2826 0.5181 0.7957
11 P 0.3639 0.4801 0.0755
12 P 0.3639 0.5199 0.5755
13 P 0.5282 0.1719 0.0307
14 P 0.5282 0.8281 0.5307
15 P 0.8255 0.0509 0.6881
16 P 0.8255 0.9491 0.1881
17 O 0.0524 0.0676 0.2427
18 O 0.0524 0.9324 0.7427
19 O 0.0879 0.3421 0.2913
20 O 0.0879 0.6579 0.7913
21 O 0.1063 0.4575 0.9936
22 O 0.1063 0.5425 0.4936
23 O 0.1332 0.3747 0.7966
24 O 0.1332 0.6253 0.2967
25 O 0.2520 0.1399 0.9718
26 O 0.2520 0.8601 0.4718
27 O 0.3197 0.4662 0.1849
28 O 0.3197 0.5338 0.6849
29 O 0.3972 0.1457 0.4046
30 O 0.3972 0.8543 0.9046
31 O 0.5176 0.3781 0.5751
32 O 0.5176 0.6219 0.0751
33 O 0.5423 0.4592 0.3764
34 O 0.5423 0.5408 0.8764
35 O 0.5559 0.3385 0.0815
36 O 0.5559 0.6615 0.5815
37 O 0.5900 0.0632 0.1325
38 O 0.5900 0.9368 0.6325
39 O 0.7396 0.1643 0.9793
40 O 0.7396 0.8357 0.4793
41 O 0.7488 0.1432 0.7670
42 O 0.7488 0.8568 0.2670
43 O 0.9072 0.1292 0.6027
44 O 0.9072 0.8708 0.1027
45 O 0.9196 0.1665 0.3999
46 O 0.9196 0.8335 0.8999

Largest 10 diffraction maxima, by angle, 10 to 90 degrees two-theta:
two_theta  I (rel.)
13.8  584
18.5  670
19.9  1000
24.5  959
24.8  948
25.1  771
26.6  539
28.8  451
29.1  462
34.7  717

---

# 2
Diffraction record for Al2NiO4. The X-ray diffraction stick pattern is computed, not measured: it uses DFT lattice parameters and positions (PBE+U) and CuKα.

Cell and atoms:
Lattice parameters (Å, degrees): 5.7544 5.7544 18.9126 98.45 98.45 60.22
Fractional coordinates of all 56 atoms:
1 Al 0.0000 0.0000 0.0000
2 Al 0.0224 0.5268 0.5925
3 Al 0.0257 0.5252 0.0916
4 Al 0.0508 0.0508 0.1820
5 Al 0.1502 0.1502 0.4635
6 Al 0.2494 0.2494 0.7499
7 Al 0.2751 0.7751 0.8420
8 Al 0.2754 0.7796 0.3408
9 Al 0.3005 0.3005 0.9335
10 Al 0.5001 0.5001 0.4967
11 Al 0.5252 0.0257 0.0916
12 Al 0.5268 0.0224 0.5925
13 Al 0.5492 0.5492 0.6853
14 Al 0.7514 0.7514 0.2502
15 Al 0.7751 0.2751 0.8420
16 Al 0.7796 0.2754 0.3408
17 Ni 0.0235 0.0235 0.5923
18 Ni 0.2756 0.2756 0.3406
19 Ni 0.4013 0.4013 0.2169
20 Ni 0.5254 0.5254 0.0914
21 Ni 0.6504 0.6504 0.9666
22 Ni 0.7753 0.7753 0.8418
23 Ni 0.8055 0.8055 0.4347
24 Ni 0.8992 0.8992 0.7165
25 O 0.0819 0.0819 0.2789
26 O 0.0866 0.0866 0.7834
27 O 0.0983 0.6043 0.2834
28 O 0.1013 0.5976 0.7829
29 O 0.1995 0.7020 0.1495
30 O 0.2051 0.6956 0.6506
31 O 0.2142 0.2142 0.1487
32 O 0.2192 0.2192 0.6506
33 O 0.3298 0.3298 0.5292
34 O 0.3308 0.3308 0.0316
35 O 0.3388 0.8590 0.5283
36 O 0.3480 0.8518 0.0328
37 O 0.4254 0.9660 0.4027
38 O 0.4485 0.9530 0.9000
39 O 0.4630 0.4630 0.8994
40 O 0.4706 0.4706 0.3999
41 O 0.5805 0.5805 0.7831
42 O 0.5901 0.5901 0.2849
43 O 0.5976 0.1013 0.7829
44 O 0.6043 0.0983 0.2834
45 O 0.6956 0.2051 0.6506
46 O 0.7020 0.1995 0.1495
47 O 0.7082 0.7082 0.6502
48 O 0.7201 0.7201 0.1512
49 O 0.8287 0.8287 0.5409
50 O 0.8372 0.8372 0.0335
51 O 0.8518 0.3480 0.0328
52 O 0.8590 0.3388 0.5283
53 O 0.9530 0.4485 0.9000
54 O 0.9660 0.4254 0.4027
55 O 0.9698 0.9698 0.9012
56 O 0.9818 0.9818 0.3995

Largest 10 diffraction maxima, by angle, 10 to 90 degrees two-theta:
two_theta  I (rel.)
18.9  580
31.0  267
36.6  1000
36.8  598
36.9  534
44.6  296
44.7  593
59.0  422
64.8  382
65.1  384

---

# 3
Diffraction record for Li2Mn3GaO8. The X-ray diffraction stick pattern is computed, not measured: it uses DFT lattice parameters and positions (PBE+U) and CuKα.

Cell and atoms:
Lattice parameters (Å, degrees): 5.9053 6.0030 10.1504 90.00 125.54 90.00
Fractional coordinates of all 28 atoms:
1 Li 0.0000 0.2479 0.0000
2 Li 0.0000 0.7521 0.5000
3 Li 0.2761 0.2485 0.7531
4 Li 0.2761 0.7515 0.2531
5 Mn 0.6369 0.0001 0.1260
6 Mn 0.6369 0.9999 0.6260
7 Mn 0.6380 0.2380 0.3766
8 Mn 0.6381 0.4991 0.6260
9 Mn 0.6381 0.5009 0.1260
10 Mn 0.6380 0.7620 0.8766
11 Ga 0.1377 0.2489 0.3758
12 Ga 0.1377 0.7511 0.8758
13 O 0.4061 0.4638 0.3850
14 O 0.4061 0.5362 0.8850
15 O 0.4068 0.0208 0.3919
16 O 0.4068 0.9792 0.8919
17 O 0.4148 0.2202 0.1432
18 O 0.4148 0.7798 0.6432
19 O 0.4156 0.2474 0.6176
20 O 0.4156 0.7526 0.1176
21 O 0.8581 0.2476 0.1344
22 O 0.8581 0.7524 0.6344
23 O 0.8604 0.2205 0.6098
24 O 0.8604 0.7795 0.1098
25 O 0.8656 0.4632 0.3661
26 O 0.8656 0.5368 0.8661
27 O 0.8675 0.0212 0.3601
28 O 0.8675 0.9788 0.8601

Largest 10 diffraction maxima, by angle, 10 to 90 degrees two-theta:
two_theta  I (rel.)
18.3  1000
18.5  755
35.3  257
35.6  314
35.9  240
37.0  116
43.0  639
43.8  306
56.7  128
63.1  374

---

# 4
Diffraction record for LiNiP4O12. The X-ray diffraction stick pattern is computed, not measured: it uses DFT lattice parameters and positions (PBE+U) and CuKα.

Cell and atoms:
Lattice parameters (Å, degrees): 7.3624 7.3624 9.8923 112.81 112.81 69.93
Fractional coordinates of all 36 atoms:
1 Li 0.0559 0.9441 0.7500
2 Li 0.9441 0.0559 0.2500
3 Ni 0.0000 0.5000 0.5000
4 Ni 0.5000 0.0000 0.0000
5 P 0.2608 0.7259 0.0246
6 P 0.2741 0.7392 0.4754
7 P 0.3031 0.3104 0.8033
8 P 0.3104 0.3031 0.3033
9 P 0.6896 0.6969 0.6967
10 P 0.6969 0.6896 0.1967
11 P 0.7259 0.2608 0.5246
12 P 0.7392 0.2741 0.9754
13 O 0.0942 0.8472 0.0957
14 O 0.1220 0.2982 0.3272
15 O 0.1528 0.9058 0.4043
16 O 0.1923 0.3398 0.6492
17 O 0.1929 0.7005 0.5784
18 O 0.2239 0.5007 0.9350
19 O 0.2982 0.1220 0.8272
20 O 0.2995 0.8071 0.9216
21 O 0.3176 0.5342 0.3407
22 O 0.3398 0.1923 0.1492
23 O 0.4658 0.6824 0.1593
24 O 0.4993 0.7761 0.5650
25 O 0.5007 0.2239 0.4350
26 O 0.5342 0.3176 0.8407
27 O 0.6602 0.8077 0.8508
28 O 0.6824 0.4658 0.6593
29 O 0.7005 0.1929 0.0784
30 O 0.7018 0.8780 0.1728
31 O 0.7761 0.4993 0.0650
32 O 0.8071 0.2995 0.4216
33 O 0.8077 0.6602 0.3508
34 O 0.8472 0.0942 0.5957
35 O 0.8780 0.7018 0.6728
36 O 0.9058 0.1528 0.9043

Largest 10 diffraction maxima, by angle, 10 to 90 degrees two-theta:
two_theta  I (rel.)
14.2  486
19.1  434
19.3  305
24.6  436
27.0  247
29.5  1000
31.0  256
33.7  238
40.1  196
42.7  193

---

# 5
Diffraction record for PrEuZrMnO6. The X-ray diffraction stick pattern is computed, not measured: it uses DFT lattice parameters and positions (PBE+U) and CuKα.

Cell and atoms:
Lattice parameters (Å, degrees): 5.7535 5.7535 5.7535 60.00 60.00 60.00
Fractional coordinates of all 10 atoms:
1 Pr 0.0000 0.0000 0.0000
2 Eu 0.5000 0.5000 0.5000
3 Zr 0.7500 0.7500 0.7500
4 Mn 0.2500 0.2500 0.2500
5 O 0.0039 0.0039 0.4961
6 O 0.0039 0.4961 0.0039
7 O 0.0039 0.4961 0.4961
8 O 0.4961 0.0039 0.0039
9 O 0.4961 0.0039 0.4961
10 O 0.4961 0.4961 0.0039

Largest 10 diffraction maxima, by angle, 10 to 90 degrees two-theta:
two_theta  I (rel.)
21.8  78
31.1  1000
38.3  133
44.5  314
50.1  45
55.3  393
64.8  189
73.6  169
77.9  43
82.1  63

---

# 6
Diffraction record for Dy5Mo2O12. The X-ray diffraction stick pattern is computed, not measured: it uses DFT lattice parameters and positions (PBE+U) and CuKα.

Cell and atoms:
Lattice parameters (Å, degrees): 6.8275 6.8275 7.5888 106.30 106.30 49.98
Fractional coordinates of all 19 atoms:
1 Dy 0.0000 0.0000 0.0000
2 Dy 0.3050 0.3050 0.1388
3 Dy 0.3142 0.3142 0.6785
4 Dy 0.6858 0.6858 0.3215
5 Dy 0.6950 0.6950 0.8612
6 Mo 0.2189 0.7811 0.5000
7 Mo 0.7811 0.2189 0.5000
8 O 0.0005 0.0005 0.2937
9 O 0.0909 0.5796 0.4159
10 O 0.0968 0.5928 0.9247
11 O 0.4072 0.9032 0.0753
12 O 0.4204 0.9091 0.5841
13 O 0.4997 0.4997 0.3170
14 O 0.5003 0.5003 0.6830
15 O 0.5796 0.0909 0.4159
16 O 0.5928 0.0968 0.9247
17 O 0.9032 0.4072 0.0753
18 O 0.9091 0.4204 0.5841
19 O 0.9995 0.9995 0.7063

Largest 10 diffraction maxima, by angle, 10 to 90 degrees two-theta:
two_theta  I (rel.)
27.5  971
28.1  1000
31.0  178
32.8  271
32.9  272
45.8  307
46.3  167
48.0  228
55.9  190
56.1  214